Au3I4: theoretical powder diffraction line list (CuKα), based on a structure optimized by DFT (GGA-PBE).

Structural model:
Lattice parameters (Å, degrees): 6.3626 6.3626 6.3626 90.00 90.00 90.00
Space group P-43m (No. 215)
Symmetry-distinct sites (fractional):
Au 0.0000 0.0000 0.5000 x3
I 0.2580 0.2580 0.2580 x4

Principal peaks in the range 2θ from 10° to 80°, in order of rising 2θ:
2θ/deg	Rel. int.	hkl
13.92	13	1 0 0
19.73	15	1 1 0
24.23	100	1 1 1
31.44	13	2 1 0
40.08	80	2 2 0
47.39	50	3 1 1
57.98	13	4 0 0
63.76	20	3 3 1
72.82	27	4 2 2
78.04	15	5 1 1